(1)
Theoretical PXRD pattern of Al41V4 for copper Kα, from a DFT-relaxed cell (PBE, the Materials Project).

Cell and atoms:
a b c (Å): 10.229 10.229 10.229
angles (deg): 60.00 60.00 60.00
Sites, in units of the cell vectors:
1 Al 0.000 0.000 0.000
2 Al 0.078 0.552 0.552
3 Al 0.078 0.552 0.817
4 Al 0.078 0.817 0.552
5 Al 0.111 0.111 0.389
6 Al 0.111 0.389 0.111
7 Al 0.111 0.389 0.389
8 Al 0.198 0.198 0.671
9 Al 0.198 0.198 0.933
10 Al 0.198 0.671 0.198
11 Al 0.198 0.671 0.933
12 Al 0.198 0.933 0.198
13 Al 0.198 0.933 0.671
14 Al 0.360 0.360 0.640
15 Al 0.360 0.640 0.360
16 Al 0.360 0.640 0.640
17 Al 0.373 0.876 0.876
18 Al 0.389 0.111 0.111
19 Al 0.389 0.111 0.389
20 Al 0.389 0.389 0.111
21 Al 0.552 0.078 0.552
22 Al 0.552 0.078 0.817
23 Al 0.552 0.552 0.078
24 Al 0.552 0.552 0.817
25 Al 0.552 0.817 0.078
26 Al 0.552 0.817 0.552
27 Al 0.640 0.360 0.360
28 Al 0.640 0.360 0.640
29 Al 0.640 0.640 0.360
30 Al 0.671 0.198 0.198
31 Al 0.671 0.198 0.933
32 Al 0.671 0.933 0.198
33 Al 0.817 0.078 0.552
34 Al 0.817 0.552 0.078
35 Al 0.817 0.552 0.552
36 Al 0.876 0.373 0.876
37 Al 0.876 0.876 0.373
38 Al 0.876 0.876 0.876
39 Al 0.933 0.198 0.198
40 Al 0.933 0.198 0.671
41 Al 0.933 0.671 0.198
42 V 0.375 0.375 0.375
43 V 0.375 0.375 0.875
44 V 0.375 0.875 0.375
45 V 0.875 0.375 0.375

Main lines, in order of falling intensity (5 to 70 degrees two-theta):
- 2θ = 41.40°, rel. 1000
- 2θ = 40.91°, rel. 667
- 2θ = 10.59°, rel. 540
- 2θ = 44.74°, rel. 487
- 2θ = 36.76°, rel. 379
- 2θ = 43.33°, rel. 343
- 2θ = 67.26°, rel. 256
- 2θ = 39.39°, rel. 248
- 2θ = 35.09°, rel. 156
- 2θ = 37.30°, rel. 148

(2)
Theoretical PXRD pattern of Al4W for copper Kα, from a DFT-relaxed cell (PBE, the Materials Project).

Cell and atoms:
a b c (Å): 9.302 9.302 5.244
angles (deg): 92.83 92.83 147.03
Sites, in units of the cell vectors:
1 Al 0.000 0.000 0.000
2 Al 0.087 0.840 0.704
3 Al 0.214 0.450 0.299
4 Al 0.225 0.695 0.929
5 Al 0.372 0.872 0.438
6 Al 0.409 0.563 0.827
7 Al 0.450 0.214 0.299
8 Al 0.563 0.409 0.827
9 Al 0.642 0.642 0.362
10 Al 0.695 0.225 0.929
11 Al 0.840 0.087 0.704
12 Al 0.872 0.372 0.438
13 W 0.155 0.155 0.520
14 W 0.679 0.953 0.181
15 W 0.953 0.679 0.181

Main lines, in order of falling intensity (5 to 70 degrees two-theta):
- 2θ = 40.39°, rel. 1000
- 2θ = 22.72°, rel. 961
- 2θ = 22.61°, rel. 911
- 2θ = 26.40°, rel. 795
- 2θ = 41.36°, rel. 638
- 2θ = 41.97°, rel. 518
- 2θ = 40.15°, rel. 511
- 2θ = 17.17°, rel. 469
- 2θ = 30.40°, rel. 463
- 2θ = 39.20°, rel. 461

(3)
Theoretical PXRD pattern of Al2W for copper Kα, from a DFT-relaxed cell (PBE, the Materials Project).

Cell and atoms:
a b c (Å): 4.873 4.873 6.787
angles (deg): 90.00 90.00 120.00
Sites, in units of the cell vectors:
1 Al 0.169 0.337 0.000
2 Al 0.169 0.831 0.667
3 Al 0.337 0.169 0.333
4 Al 0.663 0.831 0.333
5 Al 0.831 0.169 0.667
6 Al 0.831 0.663 0.000
7 W 0.000 0.500 0.333
8 W 0.500 0.000 0.000
9 W 0.500 0.500 0.667

Main lines, in order of falling intensity (5 to 70 degrees two-theta):
- 2θ = 24.84°, rel. 1000
- 2θ = 39.29°, rel. 719
- 2θ = 45.85°, rel. 464
- 2θ = 33.90°, rel. 459
- 2θ = 42.86°, rel. 275
- 2θ = 39.85°, rel. 259
- 2θ = 59.95°, rel. 207
- 2θ = 21.05°, rel. 191
- 2θ = 59.54°, rel. 190
- 2θ = 67.24°, rel. 149

(4)
Theoretical PXRD pattern of ZrAlW for copper Kα, from a DFT-relaxed cell (PBE, the Materials Project).

Cell and atoms:
a b c (Å): 4.500 4.500 4.500
angles (deg): 60.00 60.00 60.00
Sites, in units of the cell vectors:
1 Zr 0.000 0.000 0.000
2 Al 0.500 0.500 0.500
3 W 0.250 0.250 0.250

Main lines, in order of falling intensity (5 to 70 degrees two-theta):
- 2θ = 24.22°, rel. 1000
- 2θ = 40.07°, rel. 984
- 2θ = 47.37°, rel. 503
- 2θ = 63.74°, rel. 208
- 2θ = 57.96°, rel. 166
- 2θ = 28.04°, rel. 48
- 2θ = 65.60°, rel. 22
- 2θ = 49.62°, rel. 16

(5)
Theoretical PXRD pattern of Y3Al2 for copper Kα, from a DFT-relaxed cell (PBE, the Materials Project).

Cell and atoms:
a b c (Å): 8.254 8.254 7.640
angles (deg): 90.00 90.00 90.00
Sites, in units of the cell vectors:
1 Y 0.000 0.500 0.250
2 Y 0.000 0.500 0.750
3 Y 0.152 0.152 0.000
4 Y 0.201 0.201 0.500
5 Y 0.299 0.701 0.000
6 Y 0.348 0.652 0.500
7 Y 0.500 0.000 0.250
8 Y 0.500 0.000 0.750
9 Y 0.652 0.348 0.500
10 Y 0.701 0.299 0.000
11 Y 0.799 0.799 0.500
12 Y 0.848 0.848 0.000
13 Al 0.119 0.881 0.302
14 Al 0.119 0.881 0.698
15 Al 0.381 0.381 0.198
16 Al 0.381 0.381 0.802
17 Al 0.619 0.619 0.198
18 Al 0.619 0.619 0.802
19 Al 0.881 0.119 0.302
20 Al 0.881 0.119 0.698

Main lines, in order of falling intensity (5 to 70 degrees two-theta):
- 2θ = 31.92°, rel. 1000
- 2θ = 33.77°, rel. 970
- 2θ = 34.36°, rel. 735
- 2θ = 27.91°, rel. 410
- 2θ = 30.64°, rel. 370
- 2θ = 24.11°, rel. 364
- 2θ = 52.81°, rel. 278
- 2θ = 36.38°, rel. 232
- 2θ = 60.02°, rel. 227
- 2θ = 51.54°, rel. 195

(6)
Theoretical PXRD pattern of YAl2 for copper Kα, from a DFT-relaxed cell (PBE, the Materials Project).

Cell and atoms:
a b c (Å): 5.572 5.572 5.572
angles (deg): 60.00 60.00 60.00
Sites, in units of the cell vectors:
1 Y 0.125 0.125 0.125
2 Y 0.875 0.875 0.875
3 Al 0.000 0.500 0.500
4 Al 0.500 0.000 0.500
5 Al 0.500 0.500 0.000
6 Al 0.500 0.500 0.500

Main lines, in order of falling intensity (5 to 70 degrees two-theta):
- 2θ = 37.87°, rel. 1000
- 2θ = 32.13°, rel. 783
- 2θ = 61.11°, rel. 317
- 2θ = 19.51°, rel. 296
- 2θ = 57.28°, rel. 287
- 2θ = 67.21°, rel. 224
- 2θ = 39.62°, rel. 103
- 2θ = 50.49°, rel. 71
- 2θ = 46.08°, rel. 23

(7)
Theoretical PXRD pattern of Y5Al3 for copper Kα, from a DFT-relaxed cell (PBE, the Materials Project).

Cell and atoms:
a b c (Å): 8.864 8.864 6.481
angles (deg): 90.00 90.00 59.93
Sites, in units of the cell vectors:
1 Y 0.000 0.246 0.750
2 Y 0.000 0.754 0.250
3 Y 0.246 0.000 0.250
4 Y 0.246 0.754 0.750
5 Y 0.333 0.333 0.000
6 Y 0.333 0.333 0.500
7 Y 0.667 0.667 0.000
8 Y 0.667 0.667 0.500
9 Y 0.754 0.000 0.750
10 Y 0.754 0.246 0.250
11 Al 0.000 0.397 0.250
12 Al 0.000 0.603 0.750
13 Al 0.397 0.000 0.750
14 Al 0.397 0.603 0.250
15 Al 0.603 0.000 0.250
16 Al 0.603 0.397 0.750

Main lines, in order of falling intensity (5 to 70 degrees two-theta):
- 2θ = 33.86°, rel. 1000
- 2θ = 34.29°, rel. 918
- 2θ = 30.83°, rel. 480
- 2θ = 35.08°, rel. 439
- 2θ = 29.93°, rel. 414
- 2θ = 24.34°, rel. 340
- 2θ = 55.68°, rel. 280
- 2θ = 52.84°, rel. 271
- 2θ = 23.18°, rel. 269
- 2θ = 49.87°, rel. 264

(8)
Theoretical PXRD pattern of Al3Zn for copper Kα, from a DFT-relaxed cell (PBE, the Materials Project).

Cell and atoms:
a b c (Å): 4.012 4.012 4.012
angles (deg): 90.00 90.00 90.00
Sites, in units of the cell vectors:
1 Al 0.000 0.000 0.500
2 Al 0.000 0.500 0.000
3 Al 0.500 0.000 0.000
4 Zn 0.500 0.500 0.500

Main lines, in order of falling intensity (5 to 70 degrees two-theta):
- 2θ = 38.88°, rel. 1000
- 2θ = 45.20°, rel. 481
- 2θ = 65.84°, rel. 301
- 2θ = 22.16°, rel. 265
- 2θ = 31.54°, rel. 227
- 2θ = 50.89°, rel. 115
- 2θ = 56.16°, rel. 83

(9)
Theoretical PXRD pattern of Al2Zn for copper Kα, from a DFT-relaxed cell (PBE, the Materials Project).

Cell and atoms:
a b c (Å): 2.828 2.828 6.936
angles (deg): 90.00 90.00 120.00
Sites, in units of the cell vectors:
1 Al 0.333 0.667 0.331
2 Al 0.667 0.333 0.669
3 Zn 0.000 0.000 0.000

Main lines, in order of falling intensity (5 to 70 degrees two-theta):
- 2θ = 38.99°, rel. 1000
- 2θ = 45.33°, rel. 500
- 2θ = 12.76°, rel. 407
- 2θ = 66.04°, rel. 288
- 2θ = 36.69°, rel. 103
- 2θ = 25.69°, rel. 80
- 2θ = 54.59°, rel. 62
- 2θ = 67.60°, rel. 36
- 2θ = 52.80°, rel. 13

(10)
Theoretical PXRD pattern of ZrAl2Zn for copper Kα, from a DFT-relaxed cell (PBE, the Materials Project).

Cell and atoms:
a b c (Å): 4.107 4.107 4.042
angles (deg): 90.00 90.00 90.00
Sites, in units of the cell vectors:
1 Zr 0.000 0.000 0.000
2 Al 0.000 0.500 0.500
3 Al 0.500 0.000 0.500
4 Zn 0.500 0.500 0.000

Main lines, in order of falling intensity (5 to 70 degrees two-theta):
- 2θ = 38.16°, rel. 1000
- 2θ = 44.10°, rel. 328
- 2θ = 21.99°, rel. 264
- 2θ = 30.79°, rel. 230
- 2θ = 64.71°, rel. 201
- 2θ = 44.84°, rel. 156
- 2θ = 49.80°, rel. 117
- 2θ = 64.13°, rel. 103
- 2θ = 55.38°, rel. 83
- 2θ = 68.68°, rel. 42

(11)
Theoretical PXRD pattern of ZrAl for copper Kα, from a DFT-relaxed cell (PBE, the Materials Project).

Cell and atoms:
a b c (Å): 5.728 5.728 4.305
angles (deg): 90.00 90.00 145.94
Sites, in units of the cell vectors:
1 Zr 0.160 0.840 0.750
2 Zr 0.840 0.160 0.250
3 Al 0.429 0.571 0.750
4 Al 0.571 0.429 0.250

Main lines, in order of falling intensity (5 to 70 degrees two-theta):
- 2θ = 34.88°, rel. 1000
- 2θ = 36.36°, rel. 530
- 2θ = 26.33°, rel. 516
- 2θ = 38.98°, rel. 431
- 2θ = 56.72°, rel. 282
- 2θ = 41.97°, rel. 261
- 2θ = 32.70°, rel. 156
- 2θ = 69.20°, rel. 151
- 2θ = 54.36°, rel. 150
- 2θ = 54.71°, rel. 117

(12)
Theoretical PXRD pattern of Zr3Al for copper Kα, from a DFT-relaxed cell (PBE, the Materials Project).

Cell and atoms:
a b c (Å): 6.212 6.212 5.077
angles (deg): 90.00 90.00 120.00
Sites, in units of the cell vectors:
1 Zr 0.171 0.343 0.250
2 Zr 0.171 0.829 0.250
3 Zr 0.343 0.171 0.750
4 Zr 0.657 0.829 0.250
5 Zr 0.829 0.171 0.750
6 Zr 0.829 0.657 0.750
7 Al 0.333 0.667 0.750
8 Al 0.667 0.333 0.250

Main lines, in order of falling intensity (5 to 70 degrees two-theta):
- 2θ = 37.85°, rel. 1000
- 2θ = 35.36°, rel. 271
- 2θ = 33.31°, rel. 239
- 2θ = 65.13°, rel. 214
- 2θ = 24.10°, rel. 187
- 2θ = 59.53°, rel. 169
- 2θ = 49.36°, rel. 153
- 2θ = 28.74°, rel. 64
- 2θ = 46.19°, rel. 34
- 2θ = 16.48°, rel. 31